# Th2Pd3Au
Computed powder diffraction line list, Cu Kα, 1.54184 Å. Input: a DFT-relaxed cell (GGA-PBE, Alexandria).

Main lines, by angle (10 to 90 degrees two-theta):
hkl, d (Å), intensity
1 1 4, 2.731, 100
2 1 0, 2.698, 40
2 0 5, 2.584, 23
1 1 5, 2.482, 34
3 0 1, 2.473, 20
2 1 3, 2.457, 57
0 0 8, 2.233, 29
2 1 5, 2.153, 19
0 2 0, 1.944, 32
0 2 8, 1.466, 16

a b c (Å): 7.4922 3.8887 17.8621
angles (deg): 90.00 90.00 90.00
Space group Pnma (No. 62)
Asymmetric unit:
Th1 0.1077 0.2500 0.2040 [4 per cell]
Th2 0.1674 0.2500 0.4296 [4 per cell]
Pd1 0.0793 0.2500 0.6576 [4 per cell]
Pd2 0.2063 0.2500 0.8067 [4 per cell]
Pd3 0.2158 0.7500 0.5509 [4 per cell]
Au1 0.0132 0.7500 0.0651 [4 per cell]

---

# LaSnHg4
Computed powder diffraction line list, Cu Kα, 1.54184 Å. Input: a DFT-relaxed cell (GGA-PBE, Alexandria).

Main lines, by angle (10 to 90 degrees two-theta):
hkl, d (Å), intensity
1 3 1, 2.720, 100
0 0 2, 2.403, 18
2 0 0, 2.368, 17
0 6 0, 2.298, 15
2 0 2, 1.687, 12
0 6 2, 1.661, 11
1 3 3, 1.441, 15
3 3 1, 1.426, 14
1 9 1, 1.395, 13
2 6 2, 1.360, 12

a b c (Å): 4.7366 13.7908 4.8051
angles (deg): 90.00 90.00 90.00
Space group Cmmm (No. 65)
Asymmetric unit:
La1 0.0000 0.0000 0.0000 [2 per cell]
Sn1 0.0000 0.5000 0.5000 [2 per cell]
Hg1 0.0000 0.1692 0.5000 [4 per cell]
Hg2 0.0000 0.3268 0.0000 [4 per cell]